Entry 1:
LiCo5: theoretical powder X-ray diffraction pattern (Cu Ka), based on a structure optimized by DFT (GGA-PBE).
Intensities are scaled so that the largest is 100.

Cell and atoms:
Lattice parameters (Å, degrees): 4.0634 2.4726 13.0635 90.00 90.00 90.00
Element x y z (fractional)
Li (0.0000, 0.0000, 0.0000)
Li (0.0000, 0.5000, 0.5000)
Co (0.0000, 0.0000, 0.3301)
Co (0.0000, 0.0000, 0.6701)
Co (0.0000, 0.5000, 0.1701)
Co (0.0000, 0.5000, 0.8301)
Co (0.5000, 0.0000, 0.1083)
Co (0.5000, 0.0000, 0.4412)
Co (0.5000, 0.0000, 0.7766)
Co (0.5000, 0.5000, 0.2766)
Co (0.5000, 0.5000, 0.6083)
Co (0.5000, 0.5000, 0.9412)

Top 12 peaks for 2θ from 10° to 90°, in order of rising 2θ:
- 2θ 13.6, I = 33.2
- 2θ 21.9, I = 9.6
- 2θ 25.8, I = 14.9
- 2θ 41.5, I = 12.4
- 2θ 42.0, I = 29.8
- 2θ 44.6, I = 42.3
- 2θ 47.4, I = 55.4
- 2θ 47.9, I = 100.0
- 2θ 62.9, I = 16.3
- 2θ 76.0, I = 15.2
- 2θ 84.2, I = 9.1
- 2θ 84.6, I = 16.7


Entry 2:
Ba3CuB2O6: theoretical powder X-ray diffraction pattern (Cu Ka), based on a structure optimized by DFT (GGA-PBE).
Intensities are scaled so that the largest is 100.

Cell and atoms:
Lattice parameters (Å, degrees): 5.5461 5.5461 7.5107 90.00 90.00 120.00
Element x y z (fractional)
Ba (0.0000, 0.0000, 0.0000)
Ba (0.3333, 0.6667, 0.6754)
Ba (0.6667, 0.3333, 0.3246)
Cu (0.0000, 0.0000, 0.5000)
B (0.3333, 0.6667, 0.2744)
B (0.6667, 0.3333, 0.7256)
O (0.1876, 0.3751, 0.2848)
O (0.1876, 0.8124, 0.2848)
O (0.3751, 0.1876, 0.7152)
O (0.6249, 0.8124, 0.2848)
O (0.8124, 0.1876, 0.7152)
O (0.8124, 0.6249, 0.7152)

Top 12 peaks for 2θ from 10° to 90°, in order of rising 2θ:
- 2θ 22.0, I = 74.4
- 2θ 30.2, I = 100.0
- 2θ 32.3, I = 79.4
- 2θ 35.9, I = 14.7
- 2θ 39.4, I = 39.6
- 2θ 44.8, I = 46.4
- 2θ 49.0, I = 23.3
- 2θ 51.8, I = 18.8
- 2θ 52.3, I = 17.4
- 2θ 56.3, I = 29.5
- 2θ 72.4, I = 15.7
- 2θ 75.8, I = 14.7


Entry 3:
TlAg12O7: theoretical powder X-ray diffraction pattern (Cu Ka), based on a structure optimized by DFT (GGA-PBE).
Intensities are scaled so that the largest is 100.

Cell and atoms:
Lattice parameters (Å, degrees): 7.2453 7.2453 7.2453 106.73 106.73 106.73
Element x y z (fractional)
Tl (0.0000, 0.0000, 0.0000)
Ag (0.0755, 0.6555, 0.2390)
Ag (0.1658, 0.4051, 0.5125)
Ag (0.2390, 0.0755, 0.6555)
Ag (0.3445, 0.7610, 0.9245)
Ag (0.4051, 0.5125, 0.1658)
Ag (0.4875, 0.8342, 0.5949)
Ag (0.5125, 0.1658, 0.4051)
Ag (0.5949, 0.4875, 0.8342)
Ag (0.6555, 0.2390, 0.0755)
Ag (0.7610, 0.9245, 0.3445)
Ag (0.8342, 0.5949, 0.4875)
Ag (0.9245, 0.3445, 0.7610)
O (0.0147, 0.6775, 0.8447)
O (0.1553, 0.9853, 0.3225)
O (0.3225, 0.1553, 0.9853)
O (0.5000, 0.5000, 0.5000)
O (0.6775, 0.8447, 0.0147)
O (0.8447, 0.0147, 0.6775)
O (0.9853, 0.3225, 0.1553)

Top 12 peaks for 2θ from 10° to 90°, in order of rising 2θ:
- 2θ 25.8, I = 14.5
- 2θ 32.9, I = 35.4
- 2θ 33.9, I = 100.0
- 2θ 39.1, I = 82.8
- 2θ 41.1, I = 9.0
- 2θ 50.7, I = 8.3
- 2θ 55.7, I = 22.7
- 2θ 57.1, I = 22.0
- 2θ 66.2, I = 9.9
- 2θ 67.5, I = 21.1
- 2θ 68.1, I = 8.5
- 2θ 71.4, I = 7.2


Repeat the first record exactly.
LiCo5: theoretical powder X-ray diffraction pattern (Cu Ka), based on a structure optimized by DFT (GGA-PBE).
Intensities are scaled so that the largest is 100.

Cell and atoms:
Lattice parameters (Å, degrees): 4.0634 2.4726 13.0635 90.00 90.00 90.00
Element x y z (fractional)
Li (0.0000, 0.0000, 0.0000)
Li (0.0000, 0.5000, 0.5000)
Co (0.0000, 0.0000, 0.3301)
Co (0.0000, 0.0000, 0.6701)
Co (0.0000, 0.5000, 0.1701)
Co (0.0000, 0.5000, 0.8301)
Co (0.5000, 0.0000, 0.1083)
Co (0.5000, 0.0000, 0.4412)
Co (0.5000, 0.0000, 0.7766)
Co (0.5000, 0.5000, 0.2766)
Co (0.5000, 0.5000, 0.6083)
Co (0.5000, 0.5000, 0.9412)

Top 12 peaks for 2θ from 10° to 90°, in order of rising 2θ:
- 2θ 13.6, I = 33.2
- 2θ 21.9, I = 9.6
- 2θ 25.8, I = 14.9
- 2θ 41.5, I = 12.4
- 2θ 42.0, I = 29.8
- 2θ 44.6, I = 42.3
- 2θ 47.4, I = 55.4
- 2θ 47.9, I = 100.0
- 2θ 62.9, I = 16.3
- 2θ 76.0, I = 15.2
- 2θ 84.2, I = 9.1
- 2θ 84.6, I = 16.7


Copy entry 1 word for word.
LiCo5: theoretical powder X-ray diffraction pattern (Cu Ka), based on a structure optimized by DFT (GGA-PBE).
Intensities are scaled so that the largest is 100.

Cell and atoms:
Lattice parameters (Å, degrees): 4.0634 2.4726 13.0635 90.00 90.00 90.00
Element x y z (fractional)
Li (0.0000, 0.0000, 0.0000)
Li (0.0000, 0.5000, 0.5000)
Co (0.0000, 0.0000, 0.3301)
Co (0.0000, 0.0000, 0.6701)
Co (0.0000, 0.5000, 0.1701)
Co (0.0000, 0.5000, 0.8301)
Co (0.5000, 0.0000, 0.1083)
Co (0.5000, 0.0000, 0.4412)
Co (0.5000, 0.0000, 0.7766)
Co (0.5000, 0.5000, 0.2766)
Co (0.5000, 0.5000, 0.6083)
Co (0.5000, 0.5000, 0.9412)

Top 12 peaks for 2θ from 10° to 90°, in order of rising 2θ:
- 2θ 13.6, I = 33.2
- 2θ 21.9, I = 9.6
- 2θ 25.8, I = 14.9
- 2θ 41.5, I = 12.4
- 2θ 42.0, I = 29.8
- 2θ 44.6, I = 42.3
- 2θ 47.4, I = 55.4
- 2θ 47.9, I = 100.0
- 2θ 62.9, I = 16.3
- 2θ 76.0, I = 15.2
- 2θ 84.2, I = 9.1
- 2θ 84.6, I = 16.7